For Cu2Ni7Pd2, a GGA-PBE-relaxed structure gives the computed X-ray diffraction stick pattern in this record (Cu Kα).
Lines closer than 0.1° are merged.

Most intense lines, 2θ = 5–70°, sorted by position:
| d/Å | I (rel.) | hkl |
| --- | --- | --- |
| 2.288 | 42 | 2 0 -1 |
| 2.040 | 93 | 0 1 -3 |
| 2.028 | 68 | 2 0 -2 |
| 2.010 | 81 | 1 2 -1 |
| 1.984 | 100 | 2 -1 1 |
| 1.975 | 54 | 1 1 2 |

Crystal structure
Unit cell a=4.6772 b=4.6775 c=6.4427 alpha=99.15 beta=99.19 gamma=94.76
Atoms (fractional coordinates):
Cu: 0.1818 0.3212 0.4990
Cu: 0.8182 0.6788 0.5010
Ni: 0.0579 0.9244 0.1818
Ni: 0.0926 0.5922 0.8575
Ni: 0.4243 0.5564 0.1818
Ni: 0.5000 0.0000 0.0000
Ni: 0.5757 0.4436 0.8182
Ni: 0.9074 0.4078 0.1425
Ni: 0.9421 0.0756 0.8182
Pd: 0.3536 0.8565 0.6110
Pd: 0.6464 0.1435 0.3890